[1]
Starting from a structure optimized by DFT (PBE), the powder diffraction line list of BaLiB3S6 was computed for a wavelength of 1.5418 Å.

Atomic structure:
```
data_BaLiB3S6
_chemical_formula_sum 'Ba4 Li4 B12 S24'
_cell_length_a 15.239
_cell_length_b 8.924
_cell_length_c 8.534
_cell_angle_alpha 90.00
_cell_angle_beta 117.42
_cell_angle_gamma 90.00
_symmetry_space_group_name_H-M 'C 1 c 1'
_symmetry_Int_Tables_number 9
_symmetry_space_group_name_Hall 'C -2yc'
loop_
_atom_site_label
_atom_site_type_symbol
_atom_site_fract_x
_atom_site_fract_y
_atom_site_fract_z
Ba1 Ba 0.000 0.117 0.000
Li1 Li 0.343 0.098 0.045
B1 B 0.039 0.462 0.422
B2 B 0.169 0.189 0.446
B3 B 0.260 0.498 0.027
S1 S 0.046 0.258 0.400
S2 S 0.141 0.409 0.971
S3 S 0.170 0.004 0.893
S4 S 0.282 0.300 0.533
S5 S 0.365 0.381 0.077
S6 S 0.424 0.041 0.385
```

Top 10 peaks for 2θ = 10–90°, sorted by position:
| 2theta | I (rel.) |
| --- | --- |
| 11.9 | 55.1 |
| 13.1 | 50.3 |
| 14.4 | 42.6 |
| 20.3 | 28.4 |
| 23.5 | 100.0 |
| 23.8 | 35.8 |
| 29.0 | 30.6 |
| 30.8 | 58.2 |
| 31.9 | 50.8 |
| 39.4 | 28.1 |

---

[2]
Starting from a structure optimized by DFT (PBE), the powder diffraction line list of BaMgB12 was computed for a wavelength of 1.5418 Å.

Atomic structure:
```
data_BaMgB12
_chemical_formula_sum 'Ba4 Mg4 B48'
_cell_length_a 8.404
_cell_length_b 8.404
_cell_length_c 8.404
_cell_angle_alpha 90.00
_cell_angle_beta 90.00
_cell_angle_gamma 90.00
_symmetry_space_group_name_H-M 'F m -3 m'
_symmetry_Int_Tables_number 225
_symmetry_space_group_name_Hall '-F 4 2 3'
loop_
_atom_site_label
_atom_site_type_symbol
_atom_site_fract_x
_atom_site_fract_y
_atom_site_fract_z
Ba1 Ba 0.000 0.000 0.000
Mg1 Mg 0.000 0.000 0.500
B1 B 0.102 0.250 0.250
```

Top 10 peaks for 2θ = 10–90°, sorted by position:
| 2theta | I (rel.) |
| --- | --- |
| 18.3 | 83.4 |
| 21.1 | 33.0 |
| 30.1 | 100.0 |
| 35.4 | 48.6 |
| 37.1 | 43.7 |
| 43.1 | 22.9 |
| 47.1 | 21.5 |
| 48.4 | 45.5 |
| 66.8 | 30.4 |
| 70.9 | 21.7 |

---

[3]
Starting from a structure optimized by DFT (PBE), the powder diffraction line list of RbBaMg2B was computed for a wavelength of 1.5418 Å.

Atomic structure:
```
data_RbBaMg2B
_chemical_formula_sum 'Rb1 Ba1 Mg2 B1'
_cell_length_a 6.157
_cell_length_b 6.157
_cell_length_c 5.371
_cell_angle_alpha 90.00
_cell_angle_beta 90.00
_cell_angle_gamma 90.00
_symmetry_space_group_name_H-M 'P 4/m m m'
_symmetry_Int_Tables_number 123
_symmetry_space_group_name_Hall '-P 4 2'
loop_
_atom_site_label
_atom_site_type_symbol
_atom_site_fract_x
_atom_site_fract_y
_atom_site_fract_z
Rb1 Rb 0.000 0.000 0.000
Ba1 Ba 0.500 0.500 0.500
Mg1 Mg 0.000 0.500 0.000
B1 B 0.000 0.000 0.500
```

Top 10 peaks for 2θ = 10–90°, sorted by position:
| 2theta | I (rel.) |
| --- | --- |
| 20.4 | 42.1 |
| 22.0 | 100.0 |
| 26.4 | 16.4 |
| 29.0 | 44.7 |
| 33.4 | 15.3 |
| 36.7 | 53.9 |
| 39.4 | 15.1 |
| 41.5 | 16.5 |
| 44.8 | 26.3 |
| 56.6 | 15.3 |

---

[4]
Starting from a structure optimized by DFT (PBE), the powder diffraction line list of BaMn3B was computed for a wavelength of 1.5418 Å.

Atomic structure:
```
data_BaMn3B
_chemical_formula_sum 'Ba1 Mn3 B1'
_cell_length_a 4.306
_cell_length_b 4.306
_cell_length_c 4.306
_cell_angle_alpha 90.00
_cell_angle_beta 90.00
_cell_angle_gamma 90.00
_symmetry_space_group_name_H-M 'P m -3 m'
_symmetry_Int_Tables_number 221
_symmetry_space_group_name_Hall '-P 4 2 3'
loop_
_atom_site_label
_atom_site_type_symbol
_atom_site_fract_x
_atom_site_fract_y
_atom_site_fract_z
Ba1 Ba 0.000 0.000 0.000
Mn1 Mn 0.000 0.500 0.500
B1 B 0.500 0.500 0.500
```

Top 10 peaks for 2θ = 10–90°, sorted by position:
| 2theta | I (rel.) |
| --- | --- |
| 20.6 | 14.9 |
| 29.3 | 21.5 |
| 36.1 | 100.0 |
| 42.0 | 53.7 |
| 47.2 | 7.9 |
| 52.0 | 8.6 |
| 60.9 | 33.6 |
| 72.9 | 35.2 |
| 76.7 | 11.1 |
| 84.1 | 5.0 |